Theoretical powder diffraction line list
Compound: LaSm2Tm9
Radiation: λ = 1.5418 Å (Cu Kα)
Structure: a PBE-relaxed structure

```
data_LaSm2Tm9
_cell_length_a 4.9977
_cell_length_b 4.9977
_cell_length_c 15.0055
_cell_angle_alpha 90.00
_cell_angle_beta 90.00
_cell_angle_gamma 90.00
_symmetry_space_group_name_H-M 'P 4/m m m'
_symmetry_Int_Tables_number 123
_symmetry_space_group_name_Hall '-P 4 2'
loop_
_atom_site_label
_atom_site_fract_x
_atom_site_fract_y
_atom_site_fract_z
La1 0.0000 0.0000 0.0000
Sm1 0.0000 0.0000 0.3336
Tm1 0.0000 0.5000 0.1696
Tm2 0.0000 0.5000 0.5000
Tm3 0.5000 0.5000 0.0000
Tm4 0.5000 0.5000 0.3349
```

Principal peaks in the range 2θ = 5–70°, low angle first:
hkl  2theta  Rel. int.
1 1 3  30.98  100
2 0 0  35.93  51
2 2 0  51.72  36
3 1 3  61.52  43
2 2 6  64.58  12